Computed X-ray diffraction stick pattern
Compound: K2BrCl
Radiation: Cu Kα
Structure: a crystal structure in the Materials Project, relaxed with GGA-PBE
Neutral-atom scattering factors, no anomalous dispersion.

Cell and atoms:
```
K2BrCl
1.0
2.311 1.334 7.560
-2.311 1.334 7.560
0.000 -2.668 7.560
K Br Cl
2 1 1
Direct
0.246 0.246 0.246
0.754 0.754 0.754
0.000 0.000 0.000
0.500 0.500 0.500
```

Peak list (10 most intense, 2θ from 15° to 90°, most intense first)
2theta, I_rel
27.27, 100
38.95, 71
63.63, 30
48.20, 24
70.53, 16
56.27, 11
22.56, 8
23.56, 6
29.77, 6
70.59, 5

---

Computed X-ray diffraction stick pattern
Compound: K5Br4Cl
Radiation: Cu Kα
Structure: a crystal structure in the Materials Project, relaxed with GGA-PBE
Neutral-atom scattering factors, no anomalous dispersion.

Cell and atoms:
```
K5Br4Cl
1.0
-5.246 5.246 3.325
5.246 -5.246 3.325
5.246 5.246 -3.325
K Br Cl
5 4 1
Direct
0.000 0.000 0.000
0.204 0.599 0.803
0.401 0.204 0.605
0.599 0.796 0.395
0.796 0.401 0.197
0.100 0.300 0.400
0.300 0.900 0.200
0.700 0.100 0.800
0.900 0.700 0.600
0.500 0.500 0.000
```

Peak list (10 most intense, 2θ from 15° to 90°, most intense first)
2theta, I_rel
26.85, 100
38.34, 73
47.42, 25
69.32, 23
62.53, 21
23.20, 16
88.30, 12
62.60, 10
45.29, 8
55.38, 8